Record 1
The following is a simulated X-ray diffraction stick pattern of SrGeO3. It was derived from a cell relaxed with PBE, using Cu Ka.

Cell and atoms:
Cell lengths 7.3554, 7.3554, 11.3711 Å; angles 108.42, 108.42, 60.14 degrees
Atoms (fractional coordinates):
Sr  0.0000  0.5000  0.0000
Sr  0.1558  0.6715  0.5007
Sr  0.3285  0.8442  0.9993
Sr  0.5000  0.0000  0.5000
Sr  0.6715  0.1558  0.0007
Sr  0.8442  0.3285  0.4993
Ge  0.1573  0.8427  0.2500
Ge  0.3231  0.4182  0.7537
Ge  0.4182  0.3231  0.2537
Ge  0.5818  0.6769  0.7463
Ge  0.6769  0.5818  0.2463
Ge  0.8427  0.1573  0.7500
O  0.0114  0.8872  0.1008
O  0.1128  0.9886  0.3992
O  0.1770  0.3687  0.6051
O  0.1840  0.5827  0.2515
O  0.2812  0.4683  0.9048
O  0.3489  0.6511  0.7500
O  0.3687  0.1770  0.1051
O  0.4173  0.8160  0.2485
O  0.4683  0.2812  0.4048
O  0.5317  0.7188  0.5952
O  0.5827  0.1840  0.7515
O  0.6313  0.8230  0.8949
O  0.6511  0.3489  0.2500
O  0.7188  0.5317  0.0952
O  0.8160  0.4173  0.7485
O  0.8230  0.6313  0.3949
O  0.8872  0.0114  0.6008
O  0.9886  0.1128  0.8992

The 6 most intense peaks (2θ from 10° to 80°), most intense first:
| Position (°2θ) | d/Å | I_rel |
| --- | --- | --- |
| 29.50 | 3.028 | 100 |
| 42.55 | 2.125 | 61 |
| 25.59 | 3.481 | 61 |
| 29.68 | 3.010 | 51 |
| 33.87 | 2.646 | 38 |
| 25.70 | 3.466 | 32 |

=====

Record 2
The following is a simulated X-ray diffraction stick pattern of SrGeO3. It was derived from a cell relaxed with PBE, using Cu Ka.

Cell and atoms:
Cell lengths 8.7719, 10.0748, 11.3103 Å; angles 73.91, 89.91, 77.90 degrees
Atoms (fractional coordinates):
Sr  0.0691  0.1494  0.1573
Sr  0.0984  0.1498  0.5143
Sr  0.2481  0.4978  0.0100
Sr  0.2488  0.5024  0.5080
Sr  0.4168  0.8505  0.3359
Sr  0.4223  0.8420  0.9870
Sr  0.5777  0.1580  0.0130
Sr  0.5832  0.1495  0.6641
Sr  0.7512  0.4976  0.4920
Sr  0.7519  0.5022  0.9900
Sr  0.9016  0.8502  0.4857
Sr  0.9309  0.8506  0.8427
Ge  0.0032  0.4952  0.7506
Ge  0.1055  0.7908  0.2168
Ge  0.2401  0.2038  0.8613
Ge  0.2556  0.7948  0.7109
Ge  0.3993  0.2040  0.3596
Ge  0.4972  0.5064  0.7485
Ge  0.5028  0.4936  0.2515
Ge  0.6007  0.7960  0.6404
Ge  0.7444  0.2052  0.2891
Ge  0.7599  0.7962  0.1387
Ge  0.8945  0.2092  0.7832
Ge  0.9968  0.5048  0.2494
O  0.0039  0.5860  0.8601
O  0.0424  0.4146  0.4035
O  0.0790  0.8966  0.6347
O  0.0904  0.1092  0.8431
O  0.1239  0.6265  0.1776
O  0.1316  0.7634  0.3758
O  0.1850  0.3685  0.7394
O  0.2305  0.8966  0.1411
O  0.2433  0.7606  0.8708
O  0.2497  0.2397  0.0036
O  0.2733  0.1023  0.3295
O  0.3148  0.6287  0.6738
O  0.3663  0.2384  0.5021
O  0.3823  0.3680  0.2385
O  0.4026  0.8935  0.6468
O  0.4196  0.0970  0.8456
O  0.4547  0.5867  0.3591
O  0.4947  0.4158  0.9029
O  0.5053  0.5842  0.0971
O  0.5453  0.4133  0.6409
O  0.5804  0.9030  0.1544
O  0.5974  0.1065  0.3532
O  0.6177  0.6320  0.7615
O  0.6337  0.7616  0.4979
O  0.6852  0.3713  0.3262
O  0.7267  0.8977  0.6705
O  0.7503  0.7603  0.9964
O  0.7567  0.2394  0.1292
O  0.7695  0.1034  0.8589
O  0.8150  0.6315  0.2606
O  0.8684  0.2366  0.6242
O  0.8761  0.3735  0.8224
O  0.9096  0.8908  0.1569
O  0.9210  0.1034  0.3653
O  0.9576  0.5854  0.5965
O  0.9961  0.4140  0.1399

The 6 most intense peaks (2θ from 10° to 80°), most intense first:
| Position (°2θ) | d/Å | I_rel |
| --- | --- | --- |
| 28.34 | 3.149 | 100 |
| 27.48 | 3.246 | 88 |
| 27.35 | 3.261 | 80 |
| 26.17 | 3.405 | 54 |
| 32.14 | 2.785 | 49 |
| 31.89 | 2.806 | 41 |

=====

Record 3
The following is a simulated X-ray diffraction stick pattern of SrGeO3. It was derived from a cell relaxed with PBE, using Cu Ka.

Cell and atoms:
Cell lengths 7.0535, 7.0535, 5.7714 Å; angles 90.00, 90.00, 120.00 degrees
Atoms (fractional coordinates):
Sr  0.0000  0.3375  0.0000
Sr  0.3375  0.0000  0.0000
Sr  0.6625  0.6625  0.0000
Ge  0.0000  0.7308  0.5000
Ge  0.2692  0.2692  0.5000
Ge  0.7308  0.0000  0.5000
O  0.0000  0.2428  0.5000
O  0.0000  0.6369  0.2218
O  0.0000  0.6369  0.7782
O  0.2428  0.0000  0.5000
O  0.3631  0.3631  0.2218
O  0.3631  0.3631  0.7782
O  0.6369  0.0000  0.2218
O  0.6369  0.0000  0.7782
O  0.7572  0.7572  0.5000

The 6 most intense peaks (2θ from 10° to 80°), most intense first:
| Position (°2θ) | d/Å | I_rel |
| --- | --- | --- |
| 29.69 | 3.009 | 100 |
| 25.25 | 3.527 | 53 |
| 54.35 | 1.688 | 37 |
| 44.50 | 2.036 | 31 |
| 30.99 | 2.886 | 24 |
| 40.39 | 2.233 | 23 |

=====

Record 4
The following is a simulated X-ray diffraction stick pattern of Ta2Ge2O7. It was derived from a cell relaxed with PBE, using Cu Ka.

Cell and atoms:
Cell lengths 13.6682, 13.6682, 5.7917 Å; angles 90.00, 90.00, 163.61 degrees
Atoms (fractional coordinates):
Ta  0.0532  0.9468  0.5000
Ta  0.1595  0.8405  0.9617
Ta  0.8405  0.1595  0.4617
Ta  0.9468  0.0532  0.0000
Ge  0.2712  0.7288  0.9971
Ge  0.4336  0.5664  0.5618
Ge  0.5664  0.4336  0.0618
Ge  0.7288  0.2712  0.4971
O  0.0038  0.9962  0.7229
O  0.0956  0.9044  0.1753
O  0.1092  0.8908  0.6899
O  0.2102  0.7898  0.1943
O  0.2150  0.7850  0.7498
O  0.3560  0.6440  0.4829
O  0.4458  0.5542  0.9134
O  0.5542  0.4458  0.4134
O  0.6440  0.3560  0.9829
O  0.7850  0.2150  0.2498
O  0.7898  0.2102  0.6943
O  0.8908  0.1092  0.1899
O  0.9044  0.0956  0.6753
O  0.9962  0.0038  0.2229

The 6 most intense peaks (2θ from 10° to 80°), most intense first:
| Position (°2θ) | d/Å | I_rel |
| --- | --- | --- |
| 32.25 | 2.776 | 100 |
| 29.34 | 3.044 | 93 |
| 20.18 | 4.399 | 92 |
| 25.03 | 3.558 | 60 |
| 23.06 | 3.857 | 55 |
| 49.57 | 1.839 | 54 |

=====

Record 5
The following is a simulated X-ray diffraction stick pattern of TbGeO3. It was derived from a cell relaxed with PBE, using Cu Ka.

Cell and atoms:
Cell lengths 3.9158, 3.9158, 3.9158 Å; angles 90.00, 90.00, 90.00 degrees
Atoms (fractional coordinates):
Tb  0.0000  0.0000  0.0000
Ge  0.5000  0.5000  0.5000
O  0.0000  0.5000  0.5000
O  0.5000  0.0000  0.5000
O  0.5000  0.5000  0.0000

The 6 most intense peaks (2θ from 10° to 80°), most intense first:
| Position (°2θ) | d/Å | I_rel |
| --- | --- | --- |
| 32.33 | 2.769 | 100 |
| 57.66 | 1.599 | 39 |
| 46.38 | 1.958 | 30 |
| 67.68 | 1.384 | 18 |
| 77.01 | 1.238 | 17 |
| 39.88 | 2.261 | 14 |

=====

Record 6
The following is a simulated X-ray diffraction stick pattern of ThGeO2. It was derived from a cell relaxed with PBE, using Cu Ka.

Cell and atoms:
Cell lengths 7.6619, 7.6619, 7.6619 Å; angles 126.06, 126.06, 79.79 degrees
Atoms (fractional coordinates):
Th  0.0000  0.0000  0.0000
Th  0.0000  0.0000  0.5000
Th  0.0000  0.5000  0.0000
Th  0.5000  0.0000  0.5000
Ge  0.0000  0.5000  0.5000
Ge  0.5000  0.0000  0.0000
Ge  0.5000  0.5000  0.0000
Ge  0.5000  0.5000  0.5000
O  0.1726  0.1992  0.9733
O  0.1992  0.1726  0.4733
O  0.1992  0.7259  0.0267
O  0.2741  0.8008  0.4733
O  0.7259  0.1992  0.5267
O  0.8008  0.2741  0.9733
O  0.8008  0.8274  0.5267
O  0.8274  0.8008  0.0267

The 6 most intense peaks (2θ from 10° to 80°), most intense first:
| Position (°2θ) | d/Å | I_rel |
| --- | --- | --- |
| 29.87 | 2.991 | 100 |
| 14.81 | 5.983 | 47 |
| 36.57 | 2.457 | 43 |
| 48.28 | 1.885 | 35 |
| 30.41 | 2.939 | 31 |
| 61.75 | 1.502 | 28 |